[1]
Starting from a structure optimized by DFT (GGA-PBE), the XRD peak list of ZrPd5Pt was calculated for a wavelength of 1.5418 Å.
Lines closer than 0.1° are merged.

Main lines, sorted by position (10 to 90 degrees two-theta):
2theta	d/Å	intensity
19.43	4.567	26.5
34.00	2.637	44.9
34.39	2.608	26.0
39.46	2.284	49.8
39.80	2.265	79.1
40.82	2.211	100.0
49.13	1.854	40.8
65.49	1.425	35.0
71.56	1.319	17.7
85.81	1.132	24.5

Structural model:
```
ZrPd5Pt
1.0
-2.5261 2.6373 4.5673
2.5261 -2.6373 4.5673
2.5261 2.6373 -4.5673
Zr Pd Pt
1 5 1
direct
0.0000 0.0000 0.0000
0.0115 0.7557 0.2558
0.2720 0.2720 0.0000
0.4999 0.7557 0.7442
0.5296 0.2769 0.7473
0.5296 0.7823 0.2527
0.8302 0.3302 0.5000
```


[2]
Starting from a structure optimized by DFT (GGA-PBE), the XRD peak list of Zr2Pd3Pt8 was calculated for a wavelength of 1.5418 Å.
Lines closer than 0.1° are merged.

Main lines, sorted by position (10 to 90 degrees two-theta):
2theta	d/Å	intensity
36.74	2.446	37.4
38.67	2.328	72.2
39.13	2.302	79.9
39.40	2.287	100.0
39.82	2.264	86.6
42.36	2.134	34.8
42.98	2.104	87.8
46.54	1.951	34.2
47.32	1.921	43.0
65.82	1.419	34.1

Structural model:
```
Zr2Pd3Pt8
1.0
4.9010 0.0000 0.0000
2.0043 6.2868 0.0000
0.1325 0.2793 7.1723
Zr Pd Pt
2 3 8
direct
0.1448 0.0756 0.2156
0.8552 0.9244 0.7844
0.0000 0.5000 0.0000
0.2818 0.6277 0.2850
0.7182 0.3723 0.7150
0.1490 0.5416 0.6375
0.2683 0.1430 0.8199
0.4044 0.7183 0.9311
0.4171 0.8368 0.5599
0.5829 0.1632 0.4401
0.5956 0.2817 0.0689
0.7317 0.8570 0.1801
0.8510 0.4584 0.3625
```


Number 2 is which compound? Zr2Pd3Pt8


Number 1 is which compound? ZrPd5Pt